No. 1
For CaAlOs4, DFT lattice parameters and positions (PBE) gives the theoretical PXRD pattern in this record (Cu Kα, 1.54184 Å).

a b c (Å): 5.241 5.241 5.241
angles (deg): 60.00 60.00 60.00
Fractional positions:
Ca (0.000, 0.000, 0.000)
Al (0.250, 0.250, 0.250)
Os (0.126, 0.625, 0.625)
Os (0.625, 0.126, 0.625)
Os (0.625, 0.625, 0.126)
Os (0.625, 0.625, 0.625)

Top 10 peaks for 2θ = 10–90°, low angle first:
2θ 20.8, d = 4.279 Å, I 100; 2θ 40.4, d = 2.235 Å, I 95; 2θ 42.2, d = 2.140 Å, I 87; 2θ 49.2, d = 1.853 Å, I 35; 2θ 53.9, d = 1.700 Å, I 25; 2θ 65.4, d = 1.426 Å, I 31; 2θ 72.1, d = 1.310 Å, I 32; 2θ 76.0, d = 1.253 Å, I 19; 2θ 86.0, d = 1.130 Å, I 11; 2θ 87.3, d = 1.117 Å, I 35

***

No. 2
For CaAl2SiOs2, DFT lattice parameters and positions (PBE) gives the theoretical PXRD pattern in this record (Cu Kα, 1.54184 Å).

a b c (Å): 4.466 4.466 5.701
angles (deg): 90.00 90.00 90.00
Fractional positions:
Ca (0.000, 0.000, 0.000)
Al (0.500, 0.500, 0.237)
Al (0.500, 0.500, 0.763)
Si (0.000, 0.000, 0.500)
Os (0.000, 0.500, 0.500)
Os (0.500, 0.000, 0.500)

Top 10 peaks for 2θ = 10–90°, low angle first:
2θ 15.5, d = 5.701 Å, I 100; 2θ 28.3, d = 3.158 Å, I 23; 2θ 31.4, d = 2.850 Å, I 23; 2θ 32.4, d = 2.762 Å, I 84; 2θ 40.4, d = 2.233 Å, I 37; 2θ 42.7, d = 2.116 Å, I 33; 2θ 43.5, d = 2.079 Å, I 31; 2θ 52.0, d = 1.758 Å, I 22; 2θ 56.5, d = 1.628 Å, I 16; 2θ 68.4, d = 1.371 Å, I 20

***

No. 3
For CaAlP, DFT lattice parameters and positions (PBE) gives the theoretical PXRD pattern in this record (Cu Kα, 1.54184 Å).

a b c (Å): 5.526 7.302 6.033
angles (deg): 90.00 90.00 90.00
Fractional positions:
Ca (0.127, 0.093, 0.250)
Ca (0.127, 0.407, 0.750)
Ca (0.873, 0.593, 0.250)
Ca (0.873, 0.907, 0.750)
Al (0.370, 0.750, 0.000)
Al (0.370, 0.750, 0.500)
Al (0.630, 0.250, 0.000)
Al (0.630, 0.250, 0.500)
P (0.364, 0.063, 0.750)
P (0.364, 0.437, 0.250)
P (0.636, 0.563, 0.750)
P (0.636, 0.937, 0.250)

Top 10 peaks for 2θ = 10–90°, low angle first:
2θ 29.6, d = 3.017 Å, I 27; 2θ 32.9, d = 2.719 Å, I 65; 2θ 34.7, d = 2.584 Å, I 24; 2θ 36.1, d = 2.489 Å, I 60; 2θ 37.9, d = 2.375 Å, I 100; 2θ 38.7, d = 2.326 Å, I 50; 2θ 40.5, d = 2.228 Å, I 51; 2θ 58.1, d = 1.587 Å, I 40; 2θ 59.1, d = 1.562 Å, I 21; 2θ 76.2, d = 1.249 Å, I 14

***

No. 4
For CaAl9P2, DFT lattice parameters and positions (PBE) gives the theoretical PXRD pattern in this record (Cu Kα, 1.54184 Å).

a b c (Å): 8.659 8.659 3.344
angles (deg): 90.00 90.00 120.00
Fractional positions:
Ca (0.000, 0.000, 0.000)
Al (0.000, 0.500, 0.000)
Al (0.191, 0.381, 0.500)
Al (0.191, 0.809, 0.500)
Al (0.381, 0.191, 0.500)
Al (0.500, 0.000, 0.000)
Al (0.500, 0.500, 0.000)
Al (0.619, 0.809, 0.500)
Al (0.809, 0.191, 0.500)
Al (0.809, 0.619, 0.500)
P (0.333, 0.667, 0.000)
P (0.667, 0.333, 0.000)

Top 10 peaks for 2θ = 10–90°, low angle first:
2θ 31.6, d = 2.834 Å, I 13; 2θ 33.9, d = 2.646 Å, I 42; 2θ 36.0, d = 2.495 Å, I 69; 2θ 41.7, d = 2.164 Å, I 100; 2θ 45.3, d = 2.002 Å, I 24; 2θ 54.9, d = 1.672 Å, I 14; 2θ 56.3, d = 1.635 Å, I 14; 2θ 68.6, d = 1.368 Å, I 10; 2θ 71.3, d = 1.323 Å, I 29; 2θ 72.4, d = 1.305 Å, I 12

***

No. 5
For CaAlP2, DFT lattice parameters and positions (PBE) gives the theoretical PXRD pattern in this record (Cu Kα, 1.54184 Å).

a b c (Å): 7.075 7.075 7.075
angles (deg): 30.22 30.22 30.22
Fractional positions:
Ca (0.000, 0.000, 0.000)
Al (0.500, 0.500, 0.500)
P (0.235, 0.235, 0.235)
P (0.765, 0.765, 0.765)

Top 10 peaks for 2θ = 10–90°, low angle first:
2θ 33.2, d = 2.701 Å, I 100; 2θ 35.8, d = 2.508 Å, I 9; 2θ 40.1, d = 2.249 Å, I 4; 2θ 45.7, d = 1.983 Å, I 31; 2θ 49.4, d = 1.844 Å, I 32; 2θ 60.8, d = 1.523 Å, I 15; 2θ 65.4, d = 1.426 Å, I 5; 2θ 69.6, d = 1.351 Å, I 9; 2θ 76.5, d = 1.245 Å, I 9; 2θ 82.0, d = 1.175 Å, I 13

***

No. 6
For SrCaAlP2, DFT lattice parameters and positions (PBE) gives the theoretical PXRD pattern in this record (Cu Kα, 1.54184 Å).

a b c (Å): 6.997 5.227 7.671
angles (deg): 90.00 103.90 90.00
Fractional positions:
Sr (0.000, 0.200, 0.250)
Sr (0.000, 0.800, 0.750)
Ca (0.500, 0.485, 0.750)
Ca (0.500, 0.515, 0.250)
Al (0.500, 0.000, 0.000)
Al (0.500, 0.000, 0.500)
P (0.236, 0.267, 0.950)
P (0.236, 0.733, 0.450)
P (0.764, 0.267, 0.550)
P (0.764, 0.733, 0.050)

Top 10 peaks for 2θ = 10–90°, low angle first:
2θ 20.8, d = 4.278 Å, I 29; 2θ 24.3, d = 3.656 Å, I 31; 2θ 26.1, d = 3.414 Å, I 100; 2θ 29.8, d = 2.996 Å, I 29; 2θ 31.1, d = 2.877 Å, I 38; 2θ 36.0, d = 2.497 Å, I 23; 2θ 36.9, d = 2.439 Å, I 39; 2θ 39.5, d = 2.282 Å, I 25; 2θ 40.2, d = 2.242 Å, I 24; 2θ 42.5, d = 2.126 Å, I 43

***

No. 7
For CaAl2Pd2, DFT lattice parameters and positions (PBE) gives the theoretical PXRD pattern in this record (Cu Kα, 1.54184 Å).

a b c (Å): 6.390 6.390 6.390
angles (deg): 142.38 142.38 54.25
Fractional positions:
Ca (0.000, 0.000, 0.000)
Al (0.250, 0.750, 0.500)
Al (0.750, 0.250, 0.500)
Pd (0.379, 0.379, 0.000)
Pd (0.621, 0.621, 0.000)

Top 10 peaks for 2θ = 10–90°, low angle first:
2θ 23.0, d = 3.874 Å, I 91; 2θ 30.7, d = 2.914 Å, I 70; 2θ 32.1, d = 2.790 Å, I 100; 2θ 34.6, d = 2.593 Å, I 28; 2θ 43.9, d = 2.060 Å, I 59; 2θ 44.5, d = 2.035 Å, I 61; 2θ 45.5, d = 1.992 Å, I 50; 2θ 50.2, d = 1.819 Å, I 22; 2θ 55.4, d = 1.657 Å, I 40; 2θ 65.1, d = 1.432 Å, I 33

***

No. 8
For CaAl4Pd6, DFT lattice parameters and positions (PBE) gives the theoretical PXRD pattern in this record (Cu Kα, 1.54184 Å).

a b c (Å): 7.350 7.350 3.887
angles (deg): 90.00 90.00 120.00
Fractional positions:
Ca (0.000, 0.000, 0.000)
Al (0.333, 0.667, 0.000)
Al (0.402, 0.201, 0.500)
Al (0.799, 0.201, 0.500)
Al (0.799, 0.598, 0.500)
Pd (0.198, 0.397, 0.500)
Pd (0.198, 0.802, 0.500)
Pd (0.533, 0.066, 0.000)
Pd (0.533, 0.467, 0.000)
Pd (0.603, 0.802, 0.500)
Pd (0.934, 0.467, 0.000)

Top 10 peaks for 2θ = 10–90°, low angle first:
2θ 13.9, d = 6.365 Å, I 26; 2θ 26.9, d = 3.317 Å, I 27; 2θ 28.0, d = 3.183 Å, I 16; 2θ 36.5, d = 2.463 Å, I 100; 2θ 37.4, d = 2.406 Å, I 20; 2θ 42.6, d = 2.122 Å, I 26; 2θ 44.3, d = 2.046 Å, I 45; 2θ 46.7, d = 1.944 Å, I 19; 2θ 49.6, d = 1.838 Å, I 17; 2θ 68.7, d = 1.367 Å, I 17